Hf3ZrSb2P2: calculated powder X-ray diffraction pattern (Cu Kα), based on a DFT-relaxed cell (GGA-PBE, OQMD).
Lines closer than 0.1° are merged.

```
Hf3ZrSb2P2
1.0
3.8148 0.0000 0.0000
-1.9074 3.3037 0.0000
0.0000 0.0000 13.2244
Hf Zr Sb P
3 1 2 2
direct
0.0000 0.0000 0.0000
0.0000 0.0000 0.2947
0.6667 0.3333 0.7970
0.6667 0.3333 0.5000
0.0000 0.0000 0.6501
0.6667 0.3333 0.1473
0.3333 0.6667 0.3951
0.3333 0.6667 0.8984
```

Top 10 peaks for 2θ from 5° to 70°, sorted by position:
h k l, Position (°2θ), I_rel
0 0 1, 6.68, 9
1 0 0, 26.99, 28
1 0 3, 33.91, 100
1 0 4, 38.52, 7
0 0 6, 40.95, 8
1 1 0, 47.68, 32
0 1 6, 49.73, 12
0 0 8, 55.62, 8
0 2 3, 59.79, 20
1 1 6, 64.62, 13